1.
CuGeP: calculated X-ray diffraction stick pattern (Cu Kα X-rays), based on a PBE-relaxed structure.
No peak broadening, texture or thermal motion is included.

Atomic structure:
```
data_CuGeP
_space_group_name_H-M_alt 'P 1'
_space_group_IT_number 1
_cell_length_a 3.695
_cell_length_b 3.808
_cell_length_c 4.478
_cell_angle_alpha 90.00
_cell_angle_beta 109.18
_cell_angle_gamma 90.00
loop_
_space_group_symop_operation_xyz
'x,y,z'
loop_
_atom_site_label
_atom_site_type_symbol
_atom_site_fract_x
_atom_site_fract_y
_atom_site_fract_z
Cu1 Cu 0.000 0.000 0.000
Ge1 Ge 0.196 0.500 0.357
P1 P 0.836 0.500 0.706
```

Main lines, in order of falling intensity (5° ≤ 2θ ≤ 70°):
Position (°2θ)	intensity
31.62	100
27.27	85
25.53	75
45.49	65
48.67	52
47.78	28
49.29	27
49.54	25
55.88	21
58.16	21

2.
CsHoGaTe4: calculated X-ray diffraction stick pattern (Cu Kα X-rays), based on a PBE-relaxed structure.
No peak broadening, texture or thermal motion is included.

Atomic structure:
```
data_CsHoGaTe4
_space_group_name_H-M_alt 'P 1'
_space_group_IT_number 1
_cell_length_a 7.659
_cell_length_b 6.609
_cell_length_c 10.772
_cell_angle_alpha 90.00
_cell_angle_beta 106.27
_cell_angle_gamma 90.00
loop_
_space_group_symop_operation_xyz
'x,y,z'
loop_
_atom_site_label
_atom_site_type_symbol
_atom_site_fract_x
_atom_site_fract_y
_atom_site_fract_z
Cs1 Cs 0.232 0.250 0.051
Cs2 Cs 0.768 0.750 0.949
Ho1 Ho 0.255 0.250 0.550
Ho2 Ho 0.745 0.750 0.450
Ga1 Ga 0.262 0.750 0.336
Ga2 Ga 0.738 0.250 0.664
Te1 Te 0.017 0.511 0.696
Te2 Te 0.017 0.989 0.696
Te3 Te 0.430 0.750 0.582
Te4 Te 0.461 0.750 0.180
Te5 Te 0.539 0.250 0.820
Te6 Te 0.570 0.250 0.418
Te7 Te 0.983 0.011 0.304
Te8 Te 0.983 0.489 0.304
```

Main lines, in order of falling intensity (5° ≤ 2θ ≤ 70°):
Position (°2θ)	intensity
8.55	100
27.28	68
29.64	62
28.91	53
25.49	49
32.15	32
23.65	31
32.63	31
36.56	27
52.19	27

3.
BaNa2ReO5: calculated X-ray diffraction stick pattern (Cu Kα X-rays), based on a PBE-relaxed structure.
No peak broadening, texture or thermal motion is included.

Atomic structure:
```
data_BaNa2ReO5
_space_group_name_H-M_alt 'P 1'
_space_group_IT_number 1
_cell_length_a 6.676
_cell_length_b 6.676
_cell_length_c 6.676
_cell_angle_alpha 146.07
_cell_angle_beta 127.47
_cell_angle_gamma 64.02
loop_
_space_group_symop_operation_xyz
'x,y,z'
loop_
_atom_site_label
_atom_site_type_symbol
_atom_site_fract_x
_atom_site_fract_y
_atom_site_fract_z
Ba1 Ba 0.000 0.000 0.000
Na1 Na 0.278 0.778 0.500
Na2 Na 0.722 0.222 0.500
Re1 Re 0.500 0.500 0.000
O1 O 0.147 0.380 0.768
O2 O 0.388 0.620 0.768
O3 O 0.500 0.000 0.500
O4 O 0.612 0.380 0.232
O5 O 0.853 0.620 0.232
```

Main lines, in order of falling intensity (5° ≤ 2θ ≤ 70°):
Position (°2θ)	intensity
31.73	100
15.65	97
27.42	40
44.32	31
34.23	27
42.33	25
30.25	24
54.67	21
31.61	19
56.37	18